Record 1
Diffraction record for BaMn2P2O9. The powder diffraction line list is theoretical, not measured: it uses the PBE+U geometry in the Materials Project and CuKα.
Lines closer than 0.1° are merged.

Structure:
```
BaMn2P2O9
1.0
4.574 -2.543 0.000
4.574 2.543 0.000
-1.051 0.000 8.333
Ba Mn P O
1 2 2 9
Cartesian
0.000 0.000 0.000 Ba
2.867 0.163 3.071 Mn
5.231 0.163 5.262 Mn
2.266 -0.032 6.154 P
5.832 -0.032 2.179 P
1.894 1.472 6.269 O
4.049 1.099 4.167 O
6.204 1.472 2.064 O
1.321 -0.910 6.994 O
2.139 -0.652 4.717 O
4.356 -0.194 1.672 O
3.742 -0.194 6.661 O
5.959 -0.652 3.616 O
6.777 -0.910 1.339 O
```

The 8 most intense peaks (5° ≤ 2θ ≤ 70°), low angle first:
2θ (°)	intensity
21.1	39
22.1	100
23.3	95
23.5	32
27.2	65
30.3	94
34.5	71
45.1	58

***

Record 2
Diffraction record for Li8Mn3CrO12. The powder diffraction line list is theoretical, not measured: it uses the PBE+U geometry in the Materials Project and CuKα.
Lines closer than 0.1° are merged.

Structure:
```
Li8Mn3CrO12
1.0
4.931 0.000 0.000
0.015 4.957 0.000
0.036 0.041 8.434
Li Mn Cr O
8 3 1 12
Cartesian
0.000 0.000 0.000 Li
0.046 2.513 8.236 Li
0.043 2.502 5.600 Li
0.031 0.017 2.615 Li
2.477 2.498 4.227 Li
2.495 4.974 3.992 Li
2.488 4.958 1.351 Li
2.509 2.510 6.865 Li
0.053 4.971 5.473 Mn
2.475 2.463 1.232 Mn
2.520 4.989 6.971 Mn
4.910 2.493 2.772 Cr
0.775 3.760 4.133 O
0.886 3.544 1.376 O
0.908 3.920 6.858 O
1.643 1.099 5.584 O
1.633 1.420 2.630 O
1.770 1.279 8.321 O
3.255 3.752 8.322 O
3.370 3.912 5.584 O
3.367 3.558 2.614 O
4.068 1.393 1.351 O
4.106 1.100 6.849 O
4.261 1.256 4.101 O
```

The 8 most intense peaks (5° ≤ 2θ ≤ 70°), low angle first:
2θ (°)	intensity
20.8	100
20.9	17
33.2	11
33.3	30
41.3	14
42.4	13
52.4	19
52.7	19

***

Record 3
Diffraction record for HoCrO2. The powder diffraction line list is theoretical, not measured: it uses the PBE+U geometry in the Materials Project and CuKα.
Lines closer than 0.1° are merged.

Structure:
```
HoCrO2
1.0
-3.051 3.051 5.836
3.051 -3.051 5.836
3.051 3.051 -5.836
Ho Cr O
4 4 8
Cartesian
0.000 0.000 0.000 Ho
1.525 1.525 -2.918 Ho
1.525 -1.525 2.918 Ho
0.000 3.051 0.000 Ho
3.051 0.000 0.000 Cr
-1.525 1.525 2.918 Cr
0.000 0.000 5.836 Cr
1.525 1.525 2.918 Cr
1.678 1.525 -0.563 O
4.424 1.525 -0.563 O
0.000 0.152 2.354 O
3.051 0.152 3.481 O
0.000 2.898 2.354 O
3.051 2.898 3.481 O
-1.373 1.525 6.399 O
1.373 1.525 6.399 O
```

The 8 most intense peaks (5° ≤ 2θ ≤ 70°), low angle first:
2θ (°)	intensity
16.4	48
30.6	45
33.1	100
33.7	20
41.9	44
52.8	37
56.1	30
69.5	16

***

Record 4
Diffraction record for Mn2O3. The powder diffraction line list is theoretical, not measured: it uses the PBE+U geometry in the Materials Project and CuKα.
Lines closer than 0.1° are merged.

Structure:
```
Mn2O3
1.0
2.580 1.490 4.669
-2.580 1.490 4.669
0.000 -2.979 4.669
Mn O
4 6
Cartesian
0.000 0.000 2.094 Mn
0.000 0.000 4.909 Mn
0.000 0.000 9.097 Mn
0.000 0.000 11.912 Mn
-1.797 -0.134 5.836 O
-0.783 -1.623 8.170 O
1.014 -1.490 5.836 O
-1.014 1.490 8.170 O
0.783 1.623 5.836 O
1.797 0.134 8.170 O
```

The 8 most intense peaks (5° ≤ 2θ ≤ 70°), low angle first:
2θ (°)	intensity
23.6	51
32.5	100
34.8	87
39.9	25
48.3	41
52.9	75
60.9	35
62.3	40